Simulated PXRD pattern
Compound: TmSbRh2
Radiation: Cu Kα X-rays
Structure: DFT lattice parameters and positions (GGA-PBE)
Kinematic intensities with the Lorentz-polarization factor, no thermal factor.

Principal peaks in the range 2θ from 10° to 80°, by angle:
2theta, I_rel, hkl
23.3, 2, 1 1 1
26.9, 3, 2 0 0
38.5, 100, 2 2 0
45.4, 1, 3 1 1
47.6, 1, 2 2 2
55.5, 17, 4 0 0
62.8, 1, 4 2 0
69.6, 34, 4 2 2

Cell lengths 6.6196, 6.6196, 6.6196 Å; angles 90.00, 90.00, 90.00 degrees
Space group Fm-3m (No. 225)
Unique sites:
Tm 0.0000 0.0000 0.0000 (multiplicity 4)
Sb 0.0000 0.0000 0.5000 (multiplicity 4)
Rh 0.2500 0.2500 0.2500 (multiplicity 8)

=====

Simulated PXRD pattern
Compound: U3Sb4Rh3
Radiation: Cu Kα X-rays
Structure: DFT lattice parameters and positions (GGA-PBE)
Kinematic intensities with the Lorentz-polarization factor, no thermal factor.

Principal peaks in the range 2θ from 10° to 80°, by angle:
2theta, I_rel, hkl
22.7, 12, 2 1 1
29.4, 37, 3 1 0
35.0, 100, 3 2 1
42.1, 47, 4 2 0
46.3, 14, 4 2 2
52.2, 15, 5 2 1
59.4, 17, 6 1 1
72.4, 13, 5 5 2

Cell lengths 9.5977, 9.5977, 9.5977 Å; angles 90.00, 90.00, 90.00 degrees
Space group I-43d (No. 220)
Unique sites:
U 0.0000 0.2500 0.3750 (multiplicity 12)
Sb 0.0878 0.0878 0.0878 (multiplicity 16)
Rh 0.0000 0.2500 0.8750 (multiplicity 12)

=====

Simulated PXRD pattern
Compound: VSbRh
Radiation: Cu Kα X-rays
Structure: DFT lattice parameters and positions (GGA-PBE)
Kinematic intensities with the Lorentz-polarization factor, no thermal factor.

Principal peaks in the range 2θ from 10° to 80°, by angle:
2theta, I_rel, hkl
25.4, 55, 1 1 1
29.4, 8, 2 0 0
42.0, 100, 2 2 0
49.7, 26, 3 1 1
60.9, 16, 4 0 0
67.1, 11, 3 3 1
69.0, 2, 4 2 0
76.7, 32, 4 2 2

Cell lengths 6.0838, 6.0838, 6.0838 Å; angles 90.00, 90.00, 90.00 degrees
Space group F-43m (No. 216)
Unique sites:
V 0.0000 0.0000 0.0000 (multiplicity 4)
Sb 0.0000 0.0000 0.5000 (multiplicity 4)
Rh 0.2500 0.2500 0.7500 (multiplicity 4)

=====

What did the first record say?
Simulated PXRD pattern
Compound: TmSbRh2
Radiation: Cu Kα X-rays
Structure: DFT lattice parameters and positions (GGA-PBE)
Kinematic intensities with the Lorentz-polarization factor, no thermal factor.

Principal peaks in the range 2θ from 10° to 80°, by angle:
2theta, I_rel, hkl
23.3, 2, 1 1 1
26.9, 3, 2 0 0
38.5, 100, 2 2 0
45.4, 1, 3 1 1
47.6, 1, 2 2 2
55.5, 17, 4 0 0
62.8, 1, 4 2 0
69.6, 34, 4 2 2

Cell lengths 6.6196, 6.6196, 6.6196 Å; angles 90.00, 90.00, 90.00 degrees
Space group Fm-3m (No. 225)
Unique sites:
Tm 0.0000 0.0000 0.0000 (multiplicity 4)
Sb 0.0000 0.0000 0.5000 (multiplicity 4)
Rh 0.2500 0.2500 0.2500 (multiplicity 8)